Record 1
The following is a simulated powder diffraction line list of Zr2Al3C4. It was derived from a GGA-PBE-relaxed structure, using a wavelength of 1.5418 Å.

Crystal structure
```
Zr2Al3C4
1.0
3.2402 0.0000 0.0000
-1.6201 2.8061 0.0000
0.0000 0.0000 26.9028
Zr Al C
4 6 8
direct
0.3333 0.6667 0.0000
0.3333 0.6667 0.3997
0.6667 0.3333 0.5000
0.6667 0.3333 0.8997
0.0000 0.0000 0.0904
0.0000 0.0000 0.3108
0.0000 0.0000 0.5904
0.0000 0.0000 0.8108
0.3333 0.6667 0.6750
0.6667 0.3333 0.1750
0.0000 0.0000 0.4539
0.0000 0.0000 0.9539
0.3333 0.6667 0.2095
0.3333 0.6667 0.2582
0.3333 0.6667 0.8483
0.6667 0.3333 0.3483
0.6667 0.3333 0.7095
0.6667 0.3333 0.7582
```

Main lines, in order of rising 2θ (10° ≤ 2θ ≤ 90°):
2θ = 33.30°, d = 2.690 Å, intensity 38; 2θ = 33.46°, d = 2.678 Å, intensity 87; 2θ = 34.64°, d = 2.590 Å, intensity 30; 2θ = 36.10°, d = 2.488 Å, intensity 100; 2θ = 37.82°, d = 2.379 Å, intensity 24; 2θ = 39.77°, d = 2.266 Å, intensity 71; 2θ = 41.93°, d = 2.155 Å, intensity 38; 2θ = 55.15°, d = 1.666 Å, intensity 18; 2θ = 56.83°, d = 1.620 Å, intensity 48; 2θ = 61.35°, d = 1.511 Å, intensity 29; 2θ = 67.51°, d = 1.387 Å, intensity 41; 2θ = 71.56°, d = 1.318 Å, intensity 21

Record 2
The following is a simulated powder diffraction line list of CuPd. It was derived from a GGA-PBE-relaxed structure, using a wavelength of 1.5418 Å.

Crystal structure
```
CuPd
1.0
1.3695 0.7907 4.2497
-1.3695 0.7907 4.2497
0.0000 -1.5813 4.2497
Cu Pd
1 1
direct
0.0000 0.0000 0.0000
0.5000 0.5000 0.5000
```

Main lines, in order of rising 2θ (10° ≤ 2θ ≤ 90°):
2θ = 20.90°, d = 4.250 Å, intensity 9; 2θ = 38.61°, d = 2.332 Å, intensity 6; 2θ = 40.58°, d = 2.223 Å, intensity 100; 2θ = 42.55°, d = 2.125 Å, intensity 29; 2θ = 47.80°, d = 1.903 Å, intensity 61; 2θ = 52.71°, d = 1.737 Å, intensity 2; 2θ = 68.52°, d = 1.369 Å, intensity 20; 2θ = 71.29°, d = 1.323 Å, intensity 18; 2θ = 82.78°, d = 1.166 Å, intensity 12; 2θ = 84.09°, d = 1.151 Å, intensity 22; 2θ = 86.71°, d = 1.123 Å, intensity 10; 2θ = 87.83°, d = 1.112 Å, intensity 10

Record 3
The following is a simulated powder diffraction line list of SrNb2O6. It was derived from a GGA-PBE-relaxed structure, using a wavelength of 1.5418 Å.

Crystal structure
```
SrNb2O6
1.0
7.8500 0.0000 0.0000
0.0000 5.6579 0.0000
-0.0607 0.0000 11.2199
Sr Nb O
4 8 24
direct
0.2499 0.0352 0.0398
0.2499 0.4648 0.5398
0.7501 0.5352 0.4602
0.7501 0.9648 0.9602
0.0143 0.5239 0.1438
0.0143 0.9761 0.6438
0.4740 0.0332 0.3577
0.4740 0.4668 0.8577
0.5260 0.5332 0.1423
0.5260 0.9668 0.6423
0.9857 0.0239 0.3562
0.9857 0.4761 0.8562
0.0338 0.7209 0.9747
0.0338 0.7791 0.4747
0.0488 0.6381 0.7126
0.0488 0.8619 0.2126
0.2484 0.1421 0.3718
0.2484 0.3579 0.8718
0.2508 0.0361 0.6460
0.2508 0.4639 0.1460
0.4476 0.6438 0.7137
0.4476 0.8562 0.2137
0.4664 0.7216 0.9747
0.4664 0.7784 0.4747
0.5336 0.2216 0.5253
0.5336 0.2784 0.0253
0.5524 0.1438 0.7863
0.5524 0.3562 0.2863
0.7492 0.5361 0.8540
0.7492 0.9639 0.3540
0.7516 0.6421 0.1282
0.7516 0.8579 0.6282
0.9512 0.1381 0.7874
0.9512 0.3619 0.2874
0.9662 0.2209 0.5253
0.9662 0.2791 0.0253
```

Main lines, in order of rising 2θ (10° ≤ 2θ ≤ 90°):
2θ = 17.56°, d = 5.052 Å, intensity 15; 2θ = 22.65°, d = 3.925 Å, intensity 21; 2θ = 27.81°, d = 3.208 Å, intensity 19; 2θ = 28.61°, d = 3.120 Å, intensity 85; 2θ = 28.79°, d = 3.101 Å, intensity 100; 2θ = 31.63°, d = 2.829 Å, intensity 31; 2θ = 42.59°, d = 2.123 Å, intensity 18; 2θ = 46.26°, d = 1.962 Å, intensity 19; 2θ = 51.36°, d = 1.779 Å, intensity 15; 2θ = 54.49°, d = 1.684 Å, intensity 15; 2θ = 55.42°, d = 1.658 Å, intensity 16; 2θ = 57.12°, d = 1.612 Å, intensity 13

Record 4
The following is a simulated powder diffraction line list of KMg6SbO8. It was derived from a GGA-PBE-relaxed structure, using a wavelength of 1.5418 Å.

Crystal structure
```
KMg6SbO8
1.0
4.5499 0.0000 0.0000
0.0000 4.5499 0.0000
0.0000 0.0000 8.9743
K Mg Sb O
1 6 1 8
direct
0.0000 0.0000 0.0000
0.0000 0.0000 0.5000
0.0000 0.5000 0.2681
0.0000 0.5000 0.7319
0.5000 0.0000 0.2681
0.5000 0.0000 0.7319
0.5000 0.5000 0.5000
0.5000 0.5000 0.0000
0.0000 0.0000 0.2786
0.0000 0.0000 0.7214
0.0000 0.5000 0.0000
0.0000 0.5000 0.5000
0.5000 0.0000 0.0000
0.5000 0.0000 0.5000
0.5000 0.5000 0.2651
0.5000 0.5000 0.7349
```

Main lines, in order of rising 2θ (10° ≤ 2θ ≤ 90°):
2θ = 19.51°, d = 4.550 Å, intensity 19; 2θ = 19.79°, d = 4.487 Å, intensity 21; 2θ = 21.90°, d = 4.058 Å, intensity 32; 2θ = 29.49°, d = 3.029 Å, intensity 29; 2θ = 29.87°, d = 2.991 Å, intensity 16; 2θ = 34.30°, d = 2.615 Å, intensity 50; 2θ = 39.62°, d = 2.275 Å, intensity 100; 2θ = 40.19°, d = 2.244 Å, intensity 43; 2θ = 57.27°, d = 1.609 Å, intensity 30; 2θ = 57.71°, d = 1.597 Å, intensity 53; 2θ = 68.48°, d = 1.370 Å, intensity 17; 2θ = 72.27°, d = 1.307 Å, intensity 25

Record 5
The following is a simulated powder diffraction line list of Cu5Sn2Se7. It was derived from a GGA-PBE-relaxed structure, using a wavelength of 1.5418 Å.

Crystal structure
```
Cu5Sn2Se7
1.0
6.3783 -2.8580 0.0000
6.3783 2.8580 0.0000
-1.2762 0.0000 8.9395
Cu Sn Se
5 2 7
direct
0.0004 0.9996 0.0000
0.1360 0.1537 0.4271
0.2875 0.2875 0.8575
0.7125 0.7125 0.1425
0.8463 0.8640 0.5729
0.4342 0.4146 0.2759
0.5854 0.5658 0.7241
0.0825 0.6207 0.0564
0.2206 0.7794 0.5000
0.3793 0.9175 0.9436
0.5406 0.0088 0.3611
0.6857 0.1534 0.7915
0.8466 0.3143 0.2085
0.9912 0.4594 0.6389
```

Main lines, in order of rising 2θ (10° ≤ 2θ ≤ 90°):
2θ = 27.04°, d = 3.297 Å, intensity 100; 2θ = 29.22°, d = 3.056 Å, intensity 1; 2θ = 44.89°, d = 2.019 Å, intensity 72; 2θ = 53.20°, d = 1.722 Å, intensity 42; 2θ = 65.34°, d = 1.428 Å, intensity 7; 2θ = 65.43°, d = 1.426 Å, intensity 4; 2θ = 72.08°, d = 1.310 Å, intensity 13; 2θ = 72.16°, d = 1.309 Å, intensity 3; 2θ = 82.79°, d = 1.166 Å, intensity 18; 2θ = 82.88°, d = 1.165 Å, intensity 4; 2θ = 89.03°, d = 1.100 Å, intensity 6; 2θ = 89.14°, d = 1.098 Å, intensity 6

Record 6
The following is a simulated powder diffraction line list of Na2LiBiBr6. It was derived from a GGA-PBE-relaxed structure, using a wavelength of 1.5418 Å.

Crystal structure
```
Na2LiBiBr6
1.0
0.0000 5.5388 5.5388
5.5388 0.0000 5.5388
5.5388 5.5388 0.0000
Na Li Bi Br
2 1 1 6
direct
0.2500 0.2500 0.2500
0.7500 0.7500 0.7500
0.0000 0.0000 0.0000
0.5000 0.5000 0.5000
0.2431 0.2431 0.7569
0.2431 0.7569 0.2431
0.2431 0.7569 0.7569
0.7569 0.2431 0.2431
0.7569 0.2431 0.7569
0.7569 0.7569 0.2431
```

Main lines, in order of rising 2θ (10° ≤ 2θ ≤ 90°):
2θ = 13.85°, d = 6.396 Å, intensity 52; 2θ = 16.00°, d = 5.539 Å, intensity 100; 2θ = 26.69°, d = 3.340 Å, intensity 48; 2θ = 27.90°, d = 3.198 Å, intensity 37; 2θ = 32.33°, d = 2.769 Å, intensity 97; 2θ = 35.32°, d = 2.541 Å, intensity 30; 2θ = 36.27°, d = 2.477 Å, intensity 53; 2θ = 46.37°, d = 1.958 Å, intensity 69; 2θ = 49.36°, d = 1.846 Å, intensity 28; 2θ = 57.65°, d = 1.599 Å, intensity 24; 2θ = 76.99°, d = 1.239 Å, intensity 30; 2θ = 85.98°, d = 1.131 Å, intensity 23

Record 7
The following is a simulated powder diffraction line list of LaB4Ir4. It was derived from a GGA-PBE-relaxed structure, using a wavelength of 1.5418 Å.

Crystal structure
```
LaB4Ir4
1.0
7.7471 0.0000 0.0000
0.0000 7.7471 0.0000
0.0000 0.0000 3.9908
La B Ir
2 8 8
direct
0.2500 0.2500 0.2500
0.7500 0.7500 0.7500
0.0297 0.5915 0.1432
0.0915 0.9703 0.6432
0.4085 0.5297 0.6432
0.4703 0.9085 0.1432
0.5297 0.0915 0.8568
0.5915 0.4703 0.3568
0.9085 0.0297 0.3568
0.9703 0.4085 0.8568
0.0914 0.8596 0.1431
0.1404 0.5914 0.6431
0.3596 0.9086 0.6431
0.4086 0.6404 0.1431
0.5914 0.3596 0.8569
0.6404 0.0914 0.3569
0.8596 0.4086 0.3569
0.9086 0.1404 0.8569
```

Main lines, in order of rising 2θ (10° ≤ 2θ ≤ 90°):
2θ = 16.18°, d = 5.478 Å, intensity 22; 2θ = 27.65°, d = 3.226 Å, intensity 20; 2θ = 34.27°, d = 2.616 Å, intensity 100; 2θ = 36.68°, d = 2.450 Å, intensity 60; 2θ = 39.92°, d = 2.258 Å, intensity 25; 2θ = 47.03°, d = 1.932 Å, intensity 22; 2θ = 48.09°, d = 1.892 Å, intensity 14; 2θ = 52.85°, d = 1.732 Å, intensity 14; 2θ = 58.45°, d = 1.579 Å, intensity 15; 2θ = 64.52°, d = 1.444 Å, intensity 19; 2θ = 68.58°, d = 1.368 Å, intensity 18; 2θ = 78.08°, d = 1.224 Å, intensity 14

Record 8
The following is a simulated powder diffraction line list of BePbO3. It was derived from a GGA-PBE-relaxed structure, using a wavelength of 1.5418 Å.

Crystal structure
```
BePbO3
1.0
3.6525 0.0000 0.0000
0.0000 3.6525 0.0000
0.0000 0.0000 3.6525
Be Pb O
1 1 3
direct
0.0000 0.0000 0.0000
0.5000 0.5000 0.5000
0.0000 0.0000 0.5000
0.0000 0.5000 0.0000
0.5000 0.0000 0.0000
```

Main lines, in order of rising 2θ (10° ≤ 2θ ≤ 90°):
2θ = 24.37°, d = 3.653 Å, intensity 100; 2θ = 34.73°, d = 2.583 Å, intensity 97; 2θ = 42.89°, d = 2.109 Å, intensity 58; 2θ = 49.94°, d = 1.826 Å, intensity 30; 2θ = 56.32°, d = 1.633 Å, intensity 46; 2θ = 62.26°, d = 1.491 Å, intensity 38; 2θ = 73.31°, d = 1.291 Å, intensity 19; 2θ = 78.57°, d = 1.218 Å, intensity 23; 2θ = 83.74°, d = 1.155 Å, intensity 18; 2θ = 88.86°, d = 1.101 Å, intensity 21

Record 9
The following is a simulated powder diffraction line list of SrCaEuSeO6. It was derived from a GGA-PBE-relaxed structure, using a wavelength of 1.5418 Å.

Crystal structure
```
SrCaEuSeO6
1.0
0.0000 4.0417 4.0417
4.0417 0.0000 4.0417
4.0417 4.0417 0.0000
Sr Ca Eu Se O
1 1 1 1 6
direct
0.0000 0.0000 0.0000
0.7500 0.7500 0.7500
0.5000 0.5000 0.5000
0.2500 0.2500 0.2500
0.0245 0.0245 0.4755
0.0245 0.4755 0.0245
0.0245 0.4755 0.4755
0.4755 0.0245 0.0245
0.4755 0.0245 0.4755
0.4755 0.4755 0.0245
```

Main lines, in order of rising 2θ (10° ≤ 2θ ≤ 90°):
2θ = 19.02°, d = 4.667 Å, intensity 14; 2θ = 21.99°, d = 4.042 Å, intensity 7; 2θ = 31.30°, d = 2.858 Å, intensity 100; 2θ = 36.88°, d = 2.437 Å, intensity 6; 2θ = 38.58°, d = 2.333 Å, intensity 15; 2θ = 44.85°, d = 2.021 Å, intensity 33; 2θ = 50.49°, d = 1.807 Å, intensity 4; 2θ = 55.71°, d = 1.650 Å, intensity 38; 2θ = 65.30°, d = 1.429 Å, intensity 20; 2θ = 74.20°, d = 1.278 Å, intensity 18; 2θ = 78.49°, d = 1.219 Å, intensity 4; 2θ = 82.71°, d = 1.167 Å, intensity 6

Record 10
The following is a simulated powder diffraction line list of CePO4. It was derived from a GGA-PBE-relaxed structure, using a wavelength of 1.5418 Å.

Crystal structure
```
CePO4
1.0
7.1905 0.0000 0.0000
-3.5952 6.2271 0.0000
0.0000 0.0000 6.4875
Ce P O
3 3 12
direct
0.0000 0.5000 0.1667
0.5000 0.0000 0.5000
0.5000 0.5000 0.8333
0.0000 0.5000 0.6667
0.5000 0.0000 0.0000
0.5000 0.5000 0.3333
0.1372 0.4462 0.8133
0.1372 0.6910 0.5200
0.3090 0.4462 0.1867
0.3090 0.8628 0.1467
0.4462 0.1372 0.8533
0.4462 0.3090 0.4800
0.5538 0.6910 0.4800
0.5538 0.8628 0.8533
0.6910 0.1372 0.1467
0.6910 0.5538 0.1867
0.8628 0.3090 0.5200
0.8628 0.5538 0.8133
```

Main lines, in order of rising 2θ (10° ≤ 2θ ≤ 90°):
2θ = 14.22°, d = 6.227 Å, intensity 100; 2θ = 19.76°, d = 4.492 Å, intensity 64; 2θ = 24.76°, d = 3.595 Å, intensity 22; 2θ = 28.67°, d = 3.114 Å, intensity 97; 2θ = 31.09°, d = 2.877 Å, intensity 76; 2θ = 37.34°, d = 2.408 Å, intensity 26; 2θ = 40.78°, d = 2.213 Å, intensity 37; 2θ = 45.90°, d = 1.977 Å, intensity 21; 2θ = 47.74°, d = 1.905 Å, intensity 48; 2θ = 51.45°, d = 1.776 Å, intensity 16; 2θ = 52.33°, d = 1.748 Å, intensity 25; 2θ = 60.76°, d = 1.524 Å, intensity 18